(1)
Diffraction record for TaFeB. The PXRD pattern is simulated, not measured: it uses a cell relaxed with PBE and Cu Kα (weighted mean of Kα1 and Kα2).
No peak broadening, texture or thermal motion is included.

Structure:
a b c (Å): 5.9801 5.9801 3.2039
angles (deg): 90.00 90.00 120.00
Space group P-62m (No. 189)
Unique sites:
1 Ta 0.0000 0.4117 0.0000
2 Fe 0.0000 0.7604 0.5000
3 B 0.0000 0.0000 0.0000
4 B 0.3333 0.6667 0.5000

Most intense lines, 10° ≤ 2θ ≤ 90°, sorted by position:
d (Å)  2θ (°)  I/Imax  index
2.990  29.88  58  1 1 0
2.589  34.64  26  2 0 0
2.186  41.30  100  1 1 1
2.014  45.01  54  2 0 1
1.957  46.39  44  2 1 0
1.311  72.06  42  3 1 1



(2)
Diffraction record for SiH14O6F6. The PXRD pattern is simulated, not measured: it uses a cell relaxed with PBE and Cu Kα (weighted mean of Kα1 and Kα2).
No peak broadening, texture or thermal motion is included.

Structure:
a b c (Å): 5.771 14.022 6.214
angles (deg): 90.00 109.86 90.00
Space group P2_1/c (No. 14)
Unique sites:
1 Si 0.000 0.000 0.000
2 H 0.103 0.200 0.079
3 H 0.118 0.711 0.003
4 H 0.194 0.187 0.621
5 H 0.279 0.058 0.504
6 H 0.319 0.638 0.268
7 H 0.438 0.651 0.073
8 H 0.494 0.089 0.738
9 O 0.058 0.235 0.622
10 O 0.339 0.683 0.155
11 O 0.383 0.112 0.587
12 F 0.087 0.516 0.790
13 F 0.188 0.098 0.043
14 F 0.243 0.572 0.494

Most intense lines, 10° ≤ 2θ ≤ 90°, sorted by position:
d (Å)  2θ (°)  I/Imax  index
7.011  12.63  82  0 2 0
5.427  16.33  88  1 0 0
5.395  16.43  88  0 1 1
4.618  19.22  93  1 1 -1
3.650  24.38  56  0 3 1
2.945  30.35  100  1 4 0



(3)
Diffraction record for ScMnRh2. The PXRD pattern is simulated, not measured: it uses a cell relaxed with PBE and Cu Kα (weighted mean of Kα1 and Kα2).
No peak broadening, texture or thermal motion is included.

Structure:
a b c (Å): 6.284 6.284 6.284
angles (deg): 90.00 90.00 90.00
Space group Fm-3m (No. 225)
Unique sites:
1 Sc 0.000 0.000 0.000
2 Mn 0.000 0.000 0.500
3 Rh 0.250 0.250 0.250

Most intense lines, 10° ≤ 2θ ≤ 90°, sorted by position:
d (Å)  2θ (°)  I/Imax  index
3.142  28.41  16  2 0 0
2.222  40.61  100  2 2 0
1.571  58.78  16  4 0 0
1.405  66.55  6  4 2 0
1.283  73.89  32  4 2 2
1.111  87.90  10  4 4 0



(4)
Diffraction record for TaZn2N3. The PXRD pattern is simulated, not measured: it uses a cell relaxed with PBE and Cu Kα (weighted mean of Kα1 and Kα2).
No peak broadening, texture or thermal motion is included.

Structure:
a b c (Å): 9.913 5.796 5.446
angles (deg): 90.00 90.00 90.00
Space group Cmc2_1 (No. 36)
Unique sites:
1 Ta 0.000 0.169 0.000
2 Zn 0.172 0.339 0.489
3 N 0.000 0.153 0.633
4 N 0.159 0.329 0.112

Most intense lines, 10° ≤ 2θ ≤ 90°, sorted by position:
d (Å)  2θ (°)  I/Imax  index
3.685  24.15  42  1 1 1
2.870  31.16  37  3 1 0
2.723  32.89  50  0 0 2
2.558  35.08  52  0 2 1
2.539  35.35  100  3 1 1
1.534  60.33  28  3 1 3



(5)
Diffraction record for Tm2Te4O11. The PXRD pattern is simulated, not measured: it uses a cell relaxed with PBE and Cu Kα (weighted mean of Kα1 and Kα2).
No peak broadening, texture or thermal motion is included.

Structure:
a b c (Å): 12.393 5.126 16.196
angles (deg): 90.00 105.51 90.00
Space group C2/c (No. 15)
Unique sites:
1 Tm 0.120 0.249 0.037
2 Te 0.122 0.279 0.698
3 Te 0.127 0.283 0.375
4 O 0.000 0.144 0.750
5 O 0.024 0.425 0.594
6 O 0.069 0.103 0.456
7 O 0.149 0.060 0.166
8 O 0.208 0.452 0.949
9 O 0.247 0.439 0.627

Most intense lines, 10° ≤ 2θ ≤ 90°, sorted by position:
d (Å)  2θ (°)  I/Imax  index
3.322  26.84  100  1 1 3
2.985  29.94  100  3 1 -3
2.659  33.71  21  2 0 -6
1.945  46.71  22  4 2 0
1.846  49.37  36  2 2 -6
1.549  59.69  20  5 1 -9



(6)
Diffraction record for Li3NbF6. The PXRD pattern is simulated, not measured: it uses a cell relaxed with PBE and Cu Kα (weighted mean of Kα1 and Kα2).
No peak broadening, texture or thermal motion is included.

Structure:
a b c (Å): 6.708 6.777 7.612
angles (deg): 77.87 64.35 62.57
Space group P-1 (No. 2)
Unique sites:
1 Li 0.000 0.000 0.000
2 Li 0.000 0.500 0.500
3 Li 0.500 0.000 0.000
4 Nb 0.000 0.500 0.000
5 F 0.059 0.490 0.254
6 F 0.141 0.745 0.891
7 F 0.350 0.240 0.889

Most intense lines, 10° ≤ 2θ ≤ 90°, sorted by position:
d (Å)  2θ (°)  I/Imax  index
6.861  12.90  100  0 0 1
6.015  14.73  46  0 1 0
5.489  16.15  45  1 0 0
5.434  16.31  30  1 0 1
5.312  16.69  68  1 1 0
3.582  24.86  14  1 1 2



(7)
Diffraction record for ZrVW. The PXRD pattern is simulated, not measured: it uses a cell relaxed with PBE and Cu Kα (weighted mean of Kα1 and Kα2).
No peak broadening, texture or thermal motion is included.

Structure:
a b c (Å): 5.312 5.322 7.500
angles (deg): 90.00 90.00 90.00
Space group Imma (No. 74)
Unique sites:
1 Zr 0.000 0.250 0.125
2 V 0.000 0.000 0.500
3 W 0.250 0.250 0.750

Most intense lines, 10° ≤ 2θ ≤ 90°, sorted by position:
d (Å)  2θ (°)  I/Imax  index
4.340  20.46  34  0 1 1
2.658  33.72  32  0 2 0
2.265  39.80  100  2 1 1
2.169  41.65  45  0 2 2
1.447  64.38  24  2 3 1
1.328  71.00  22  4 0 0



(8)
Diffraction record for ErU. The PXRD pattern is simulated, not measured: it uses a cell relaxed with PBE and Cu Kα (weighted mean of Kα1 and Kα2).
No peak broadening, texture or thermal motion is included.

Structure:
a b c (Å): 3.2036 3.2036 5.7250
angles (deg): 90.00 90.00 120.00
Space group P-6m2 (No. 187)
Unique sites:
1 Er 0.0000 0.0000 0.0000
2 U 0.6667 0.3333 0.5000

Most intense lines, 10° ≤ 2θ ≤ 90°, sorted by position:
d (Å)  2θ (°)  I/Imax  index
2.862  31.25  32  0 0 2
2.774  32.27  24  1 0 0
2.497  35.97  100  1 0 1
1.992  45.53  19  1 0 2
1.572  58.72  25  1 0 3
1.398  66.94  23  1 1 2



What is the formula in the third record?
ScMnRh2



Please write out number 7 again, unchanged.
Diffraction record for ZrVW. The PXRD pattern is simulated, not measured: it uses a cell relaxed with PBE and Cu Kα (weighted mean of Kα1 and Kα2).
No peak broadening, texture or thermal motion is included.

Structure:
a b c (Å): 5.312 5.322 7.500
angles (deg): 90.00 90.00 90.00
Space group Imma (No. 74)
Unique sites:
1 Zr 0.000 0.250 0.125
2 V 0.000 0.000 0.500
3 W 0.250 0.250 0.750

Most intense lines, 10° ≤ 2θ ≤ 90°, sorted by position:
d (Å)  2θ (°)  I/Imax  index
4.340  20.46  34  0 1 1
2.658  33.72  32  0 2 0
2.265  39.80  100  2 1 1
2.169  41.65  45  0 2 2
1.447  64.38  24  2 3 1
1.328  71.00  22  4 0 0